Calculated XRD peak list of Pr3Al9Ag2 for Cu Kα, from DFT lattice parameters and positions (PBE).

```
data_Pr3Al9Ag2
_symmetry_space_group_name_H-M 'I m m m'
_symmetry_Int_Tables_number 71
_symmetry_space_group_name_Hall '-I 2 2'
_cell_length_a 4.409
_cell_length_b 10.237
_cell_length_c 12.812
_cell_angle_alpha 90.00
_cell_angle_beta 90.00
_cell_angle_gamma 90.00
loop_
_atom_site_label
_atom_site_fract_x
_atom_site_fract_y
_atom_site_fract_z
Pr1 0.000 0.000 0.000
Pr2 0.000 0.000 0.313
Al1 0.000 0.276 0.132
Al2 0.000 0.370 0.335
Al3 0.000 0.500 0.000
Ag1 0.000 0.217 0.500
```

Main lines, low angle first (10° ≤ 2θ ≤ 90°):
d [Å]  intensity  hkl
4.050  36  1 1 0
3.999  15  0 2 2
3.942  20  0 1 3
2.699  17  1 3 0
2.666  31  0 3 3
2.631  100  1 2 3
2.559  16  0 4 0
2.205  23  2 0 0
2.135  14  0 0 6
1.699  16  2 3 3